No. 1
This entry pairs a crystal structure of Th3Pd5 with its computed X-ray diffraction stick pattern. Radiation: Cu Ka. Structure: a DFT-relaxed cell (GGA-PBE, the Materials Project).

Most intense lines, 2θ from 10° to 90°, sorted by position:
- 2θ 23.10, rel. 218, hkl 1 1 0
- 2θ 25.70, rel. 184, hkl 0 0 1
- 2θ 34.82, rel. 1000, hkl 1 1 1
- 2θ 35.61, rel. 404, hkl 2 1 0
- 2θ 37.42, rel. 196, hkl 2 0 1
- 2θ 40.58, rel. 449, hkl 3 0 0
- 2θ 44.43, rel. 269, hkl 2 1 1
- 2θ 65.33, rel. 142, hkl 2 1 2
- 2θ 66.83, rel. 194, hkl 3 2 1
- 2θ 68.66, rel. 189, hkl 3 0 2

Crystal structure
abc: 7.7016 7.7016 3.4666
angles: 90.00 90.00 120.00
Space group P-62m (No. 189)
One atom of each set of equivalent atoms:
Th1 0.0000 0.7286 0.0000 x3
Pd1 0.0000 0.3595 0.5000 x3
Pd2 0.3333 0.6667 0.0000 x2

---

No. 2
This entry pairs a crystal structure of TiPd2 with its computed X-ray diffraction stick pattern. Radiation: Cu Ka. Structure: a DFT-relaxed cell (GGA-PBE, the Materials Project).

Most intense lines, 2θ from 10° to 90°, sorted by position:
- 2θ 27.26, rel. 182, hkl 0 1 1
- 2θ 31.07, rel. 131, hkl 1 0 1
- 2θ 39.02, rel. 1000, hkl 1 1 0
- 2θ 40.29, rel. 895, hkl 0 1 3
- 2θ 43.08, rel. 736, hkl 1 0 3
- 2θ 51.78, rel. 215, hkl 0 2 0
- 2θ 60.72, rel. 131, hkl 2 0 0
- 2θ 69.57, rel. 336, hkl 1 2 3
- 2θ 75.41, rel. 265, hkl 2 1 3
- 2θ 77.91, rel. 229, hkl 1 1 6

Crystal structure
abc: 3.0507 3.5311 8.6827
angles: 90.00 90.00 90.00
Space group Immm (No. 71)
One atom of each set of equivalent atoms:
Ti1 0.0000 0.0000 0.0000 x2
Pd1 0.0000 0.0000 0.3412 x4

---

No. 3
This entry pairs a crystal structure of Ti3Pd with its computed X-ray diffraction stick pattern. Radiation: Cu Ka. Structure: a DFT-relaxed cell (GGA-PBE, the Materials Project).

Most intense lines, 2θ from 10° to 90°, sorted by position:
- 2θ 24.87, rel. 349, hkl 1 1 0
- 2θ 35.46, rel. 462, hkl 2 0 0
- 2θ 39.82, rel. 484, hkl 2 1 0
- 2θ 43.80, rel. 1000, hkl 2 1 1
- 2θ 57.58, rel. 74, hkl 3 1 0
- 2θ 66.61, rel. 91, hkl 3 2 0
- 2θ 69.47, rel. 476, hkl 3 2 1
- 2θ 75.05, rel. 117, hkl 4 0 0
- 2θ 85.85, rel. 133, hkl 4 2 0
- 2θ 88.51, rel. 79, hkl 4 2 1

Crystal structure
abc: 5.0624 5.0624 5.0624
angles: 90.00 90.00 90.00
Space group Pm-3n (No. 223)
One atom of each set of equivalent atoms:
Ti1 0.0000 0.2500 0.5000 x6
Pd1 0.0000 0.0000 0.0000 x2

---

No. 4
This entry pairs a crystal structure of Ti3Pd5 with its computed X-ray diffraction stick pattern. Radiation: Cu Ka. Structure: a DFT-relaxed cell (GGA-PBE, the Materials Project).

Most intense lines, 2θ from 10° to 90°, sorted by position:
- 2θ 35.56, rel. 82, hkl 1 0 3
- 2θ 38.20, rel. 635, hkl 1 1 0
- 2θ 39.01, rel. 55, hkl 1 1 1
- 2θ 41.27, rel. 1000, hkl 1 0 4
- 2θ 55.13, rel. 211, hkl 2 0 0
- 2θ 64.21, rel. 58, hkl 0 0 8
- 2θ 71.13, rel. 370, hkl 2 1 4
- 2θ 77.24, rel. 134, hkl 1 1 8
- 2θ 81.76, rel. 65, hkl 2 2 0
- 2θ 89.61, rel. 94, hkl 2 0 8

Crystal structure
abc: 3.3318 3.3318 11.6039
angles: 90.00 90.00 90.00
Space group P4/mmm (No. 123)
One atom of each set of equivalent atoms:
Ti1 0.0000 0.0000 0.0000 x1
Ti2 0.5000 0.5000 0.1415 x2
Pd1 0.0000 0.0000 0.2440 x2
Pd2 0.0000 0.0000 0.5000 x1
Pd3 0.5000 0.5000 0.3741 x2

---

No. 5
This entry pairs a crystal structure of Ti3Pd5 with its computed X-ray diffraction stick pattern. Radiation: Cu Ka. Structure: a DFT-relaxed cell (GGA-PBE, the Materials Project).

Most intense lines, 2θ from 10° to 90°, sorted by position:
- 2θ 28.05, rel. 179, hkl 1 0 1
- 2θ 38.46, rel. 642, hkl 1 1 0
- 2θ 39.17, rel. 42, hkl 0 0 5
- 2θ 41.61, rel. 1000, hkl 1 0 4
- 2θ 55.52, rel. 213, hkl 2 0 0
- 2θ 56.06, rel. 60, hkl 1 1 5
- 2θ 64.87, rel. 58, hkl 0 0 8
- 2θ 71.71, rel. 373, hkl 2 1 4
- 2θ 78.01, rel. 134, hkl 1 1 8
- 2θ 82.40, rel. 65, hkl 2 2 0

Crystal structure
abc: 3.3103 3.3103 11.4990
angles: 90.00 90.00 90.00
Space group P4/mmm (No. 123)
One atom of each set of equivalent atoms:
Ti1 0.0000 0.0000 0.0000 x1
Ti2 0.5000 0.5000 0.3632 x2
Pd1 0.0000 0.0000 0.2580 x2
Pd2 0.0000 0.0000 0.5000 x1
Pd3 0.5000 0.5000 0.1200 x2

---

No. 6
This entry pairs a crystal structure of TiPd2 with its computed X-ray diffraction stick pattern. Radiation: Cu Ka. Structure: a DFT-relaxed cell (GGA-PBE, the Materials Project).

Most intense lines, 2θ from 10° to 90°, sorted by position:
- 2θ 29.10, rel. 201, hkl 1 0 1
- 2θ 38.89, rel. 616, hkl 1 1 0
- 2θ 41.39, rel. 1000, hkl 1 0 3
- 2θ 56.18, rel. 204, hkl 2 0 0
- 2θ 57.90, rel. 61, hkl 1 1 4
- 2θ 63.61, rel. 61, hkl 0 0 6
- 2θ 72.13, rel. 365, hkl 2 1 3
- 2θ 77.13, rel. 138, hkl 1 1 6
- 2θ 83.49, rel. 63, hkl 2 2 0
- 2θ 89.94, rel. 96, hkl 2 0 6

Crystal structure
abc: 3.2748 3.2748 8.7765
angles: 90.00 90.00 90.00
Space group I4/mmm (No. 139)
One atom of each set of equivalent atoms:
Ti1 0.0000 0.0000 0.0000 x2
Pd1 0.0000 0.0000 0.3431 x4